# TaW7
Computed X-ray diffraction stick pattern, Cu Kα (weighted mean of Kα1 and Kα2). Input: a DFT-relaxed cell (PBE, OQMD).
Kinematic intensities with the Lorentz-polarization factor, no thermal factor.

Structure:
```
data_TaW7
_cell_length_a 4.5190
_cell_length_b 4.5190
_cell_length_c 6.4004
_cell_angle_alpha 90.00
_cell_angle_beta 90.00
_cell_angle_gamma 90.00
_space_group_name_H-M_alt 'P 4/m m m'
_space_group_IT_number 123
_space_group_name_Hall '-P 4 2'
loop_
_atom_site_label
_atom_site_type_symbol
_atom_site_fract_x
_atom_site_fract_y
_atom_site_fract_z
Ta1 Ta 0.0000 0.0000 0.0000
W1 W 0.0000 0.0000 0.5000
W2 W 0.0000 0.5000 0.2524
W3 W 0.5000 0.5000 0.0000
W4 W 0.5000 0.5000 0.5000
```

Top 3 peaks for 10° ≤ 2θ ≤ 80°, low angle first:
h k l	2theta	Rel. int.
2 0 0	39.88	100
2 2 0	57.67	17
3 1 2	72.41	35